Diffraction record for LaGaN2F. The powder X-ray diffraction pattern is theoretical, not measured: it uses a crystal structure in Alexandria, relaxed with GGA-PBE and Cu Kα, 1.54184 Å.

Most intense lines, 10 to 90 degrees two-theta, low angle first:
| 2θ (°) | I/Imax |
| --- | --- |
| 31.54 | 100 |
| 31.99 | 55 |
| 39.07 | 18 |
| 44.52 | 17 |
| 45.87 | 31 |
| 55.87 | 23 |
| 56.73 | 38 |
| 65.84 | 20 |
| 66.89 | 9 |
| 83.94 | 10 |

Atomic structure:
abc: 3.957 3.957 4.070
angles: 90.00 90.00 90.00
Fractional coordinates of all 5 atoms:
La 0.000 0.000 0.000
Ga 0.500 0.500 0.500
N 0.000 0.500 0.500
N 0.500 0.000 0.500
F 0.500 0.500 0.000

---

Diffraction record for Li3GaF6. The powder X-ray diffraction pattern is theoretical, not measured: it uses a crystal structure in Alexandria, relaxed with GGA-PBE and Cu Kα, 1.54184 Å.

Most intense lines, 10 to 90 degrees two-theta, low angle first:
| 2θ (°) | I/Imax |
| --- | --- |
| 20.04 | 100 |
| 20.23 | 85 |
| 28.62 | 96 |
| 45.87 | 51 |
| 46.15 | 45 |
| 55.33 | 19 |
| 59.26 | 18 |
| 62.91 | 16 |
| 63.58 | 15 |
| 71.18 | 10 |

Atomic structure:
abc: 6.238 6.238 6.238
angles: 89.45 89.45 89.45
Fractional coordinates of all 20 atoms:
Li 0.009 0.750 0.491
Li 0.250 0.509 0.991
Li 0.491 0.009 0.750
Li 0.509 0.991 0.250
Li 0.750 0.491 0.009
Li 0.991 0.250 0.509
Ga 0.000 0.000 0.000
Ga 0.500 0.500 0.500
F 0.012 0.305 0.981
F 0.019 0.988 0.695
F 0.195 0.488 0.519
F 0.305 0.981 0.012
F 0.481 0.805 0.512
F 0.488 0.519 0.195
F 0.512 0.481 0.805
F 0.519 0.195 0.488
F 0.695 0.019 0.988
F 0.805 0.512 0.481
F 0.981 0.012 0.305
F 0.988 0.695 0.019

---

Diffraction record for Li3GaF6. The powder X-ray diffraction pattern is theoretical, not measured: it uses a crystal structure in Alexandria, relaxed with GGA-PBE and Cu Kα, 1.54184 Å.

Most intense lines, 10 to 90 degrees two-theta, low angle first:
| 2θ (°) | I/Imax |
| --- | --- |
| 20.41 | 44 |
| 20.75 | 73 |
| 21.00 | 100 |
| 22.26 | 37 |
| 28.99 | 31 |
| 30.38 | 32 |
| 41.13 | 28 |
| 46.68 | 16 |
| 48.89 | 20 |
| 56.19 | 23 |

Atomic structure:
abc: 8.490 8.490 10.169
angles: 94.30 94.30 61.66
Fractional coordinates of all 60 atoms:
Li 0.008 0.707 0.228
Li 0.060 0.346 0.431
Li 0.127 0.535 0.947
Li 0.192 0.808 0.750
Li 0.293 0.992 0.272
Li 0.327 0.628 0.462
Li 0.346 0.060 0.931
Li 0.372 0.673 0.038
Li 0.465 0.873 0.553
Li 0.535 0.127 0.447
Li 0.628 0.327 0.962
Li 0.654 0.940 0.069
Li 0.673 0.372 0.538
Li 0.707 0.008 0.728
Li 0.808 0.192 0.250
Li 0.873 0.465 0.053
Li 0.940 0.654 0.569
Li 0.992 0.293 0.772
Ga 0.000 0.000 0.000
Ga 0.000 0.000 0.500
Ga 0.336 0.340 0.703
Ga 0.340 0.336 0.203
Ga 0.660 0.664 0.797
Ga 0.664 0.660 0.297
F 0.066 0.074 0.167
F 0.074 0.066 0.667
F 0.084 0.762 0.060
F 0.091 0.763 0.565
F 0.109 0.414 0.606
F 0.109 0.431 0.112
F 0.228 0.269 0.836
F 0.237 0.909 0.935
F 0.238 0.916 0.440
F 0.242 0.557 0.305
F 0.245 0.565 0.801
F 0.269 0.228 0.336
F 0.412 0.429 0.066
F 0.414 0.109 0.106
F 0.429 0.412 0.566
F 0.431 0.109 0.612
F 0.435 0.755 0.699
F 0.443 0.758 0.195
F 0.557 0.242 0.805
F 0.565 0.245 0.301
F 0.569 0.891 0.388
F 0.571 0.588 0.434
F 0.586 0.891 0.894
F 0.588 0.571 0.934
F 0.731 0.772 0.664
F 0.755 0.435 0.199
F 0.758 0.443 0.695
F 0.762 0.084 0.560
F 0.763 0.091 0.065
F 0.772 0.731 0.164
F 0.891 0.569 0.888
F 0.891 0.586 0.394
F 0.909 0.237 0.435
F 0.916 0.238 0.940
F 0.926 0.934 0.333
F 0.934 0.926 0.833

---

Diffraction record for LiMgGaF6. The powder X-ray diffraction pattern is theoretical, not measured: it uses a crystal structure in Alexandria, relaxed with GGA-PBE and Cu Kα, 1.54184 Å.

Most intense lines, 10 to 90 degrees two-theta, low angle first:
| 2θ (°) | I/Imax |
| --- | --- |
| 19.48 | 35 |
| 21.36 | 100 |
| 26.97 | 92 |
| 33.49 | 27 |
| 35.23 | 29 |
| 40.32 | 47 |
| 44.45 | 23 |
| 53.18 | 67 |
| 55.59 | 24 |
| 67.55 | 31 |

Atomic structure:
abc: 4.676 4.676 9.113
angles: 90.00 90.00 90.00
Fractional coordinates of all 18 atoms:
Li 0.000 0.000 0.000
Li 0.500 0.500 0.500
Mg 0.000 0.000 0.670
Mg 0.500 0.500 0.170
Ga 0.000 0.000 0.333
Ga 0.500 0.500 0.833
F 0.190 0.190 0.494
F 0.196 0.196 0.177
F 0.208 0.208 0.830
F 0.292 0.708 0.330
F 0.304 0.696 0.677
F 0.310 0.690 0.994
F 0.690 0.310 0.994
F 0.696 0.304 0.677
F 0.708 0.292 0.330
F 0.792 0.792 0.830
F 0.804 0.804 0.177
F 0.810 0.810 0.494